1.
Starting from a DFT-relaxed cell (GGA-PBE, Alexandria), the X-ray powder pattern of Pr7In3O2 was computed for Cu Kα (weighted mean of Kα1 and Kα2).
Lines closer than 0.1° are merged.

Atomic structure:
Lattice parameters (Å, degrees): 5.0688 25.3784 4.9237 90.00 90.00 90.00
Space group Cmmm (No. 65)
Symmetry-distinct sites (fractional):
Pr (0.0000, 0.0000, 0.0000) [2 per cell]
Pr (0.0000, 0.0958, 0.5000) [4 per cell]
Pr (0.0000, 0.2013, 0.0000) [4 per cell]
Pr (0.0000, 0.3970, 0.0000) [4 per cell]
In (0.0000, 0.3048, 0.5000) [4 per cell]
In (0.0000, 0.5000, 0.5000) [2 per cell]
O (0.0000, 0.1004, 0.0000) [4 per cell]

The 8 most intense peaks (2θ from 15° to 90°), in order of rising 2θ:
two_theta, Rel. int., index
30.8, 100, 1 5 1
35.4, 38, 2 0 0
36.5, 18, 0 0 2
50.9, 13, 2 10 0
51.8, 25, 2 0 2
60.7, 28, 3 5 1
62.2, 13, 1 5 3
64.3, 13, 2 10 2



2.
Starting from a DFT-relaxed cell (GGA-PBE, Alexandria), the X-ray powder pattern of Pr3InO6 was computed for Cu Kα (weighted mean of Kα1 and Kα2).
Lines closer than 0.1° are merged.

Atomic structure:
Lattice parameters (Å, degrees): 9.4240 11.8132 5.8290 90.00 90.00 90.00
Space group Cmc2_1 (No. 36)
Symmetry-distinct sites (fractional):
Pr (0.0000, 0.1019, 0.0000) [4 per cell]
Pr (0.1950, 0.3939, 0.9512) [8 per cell]
In (0.0000, 0.3130, 0.4303) [4 per cell]
O (0.0000, 0.2817, 0.7774) [4 per cell]
O (0.0000, 0.4704, 0.2596) [4 per cell]
O (0.1596, 0.0149, 0.7248) [8 per cell]
O (0.1615, 0.2356, 0.2360) [8 per cell]

The 8 most intense peaks (2θ from 15° to 90°), in order of rising 2θ:
two_theta, Rel. int., index
28.7, 100, 2 2 1
29.0, 35, 1 3 1
30.7, 21, 0 0 2
43.0, 17, 3 1 2
43.6, 16, 0 4 2
48.2, 20, 3 5 0
53.3, 14, 2 2 3
56.4, 17, 5 3 1